Entry 1:
This entry pairs a crystal structure of BOs3 with its computed X-ray powder pattern. Radiation: Cu Kα X-rays. Structure: the PBE geometry in the Materials Project.
Peak positions follow from Bragg's law for the DFT cell and can differ from measured ones.

Most intense lines, 5 to 70 degrees two-theta, low angle first:
h k l  two_theta  d_spacing  I (rel.)
1 0 1  29.12  3.067  40
1 1 0  32.80  2.730  15
2 0 0  38.06  2.365  26
2 0 1  44.43  2.039  100
0 0 2  45.01  2.014  22
2 2 0  68.77  1.365  18

Atomic structure:
```
data_BOs3
_chemical_formula_sum 'B2 Os6'
_cell_length_a 5.4606
_cell_length_b 5.4606
_cell_length_c 4.0284
_cell_angle_alpha 90.00
_cell_angle_beta 90.00
_cell_angle_gamma 120.00
_symmetry_space_group_name_H-M 'P 63/m m c'
_symmetry_Int_Tables_number 194
_symmetry_space_group_name_Hall '-P 6c 2c'
loop_
_atom_site_label
_atom_site_fract_x
_atom_site_fract_y
_atom_site_fract_z
_atom_site_occupancy
B1 0.3333 0.6667 0.2500 1
Os1 0.1753 0.3506 0.7500 1
```

---

Entry 2:
This entry pairs a crystal structure of Na2ZnCl4O3 with its computed X-ray powder pattern. Radiation: Cu Kα X-rays. Structure: the PBE geometry in the Materials Project.
Peak positions follow from Bragg's law for the DFT cell and can differ from measured ones.

Most intense lines, 5 to 70 degrees two-theta, low angle first:
h k l  two_theta  d_spacing  I (rel.)
1 1 0  13.68  6.474  100
0 0 1  17.13  5.176  85
1 3 0  24.17  3.682  84
1 3 -1  29.76  3.003  62
1 1 2  37.43  2.403  47
3 3 0  41.86  2.158  56

Atomic structure:
```
data_Na2ZnCl4O3
_chemical_formula_sum 'Na4 Zn2 Cl8 O6'
_cell_length_a 7.532
_cell_length_b 12.663
_cell_length_c 5.176
_cell_angle_alpha 90.00
_cell_angle_beta 90.18
_cell_angle_gamma 90.00
_symmetry_space_group_name_H-M 'C 1 m 1'
_symmetry_Int_Tables_number 8
_symmetry_space_group_name_Hall 'C -2y'
loop_
_atom_site_label
_atom_site_fract_x
_atom_site_fract_y
_atom_site_fract_z
_atom_site_occupancy
Na1 0.000 0.169 0.000 1
Zn1 0.000 0.500 0.827 1
Cl1 0.004 0.500 0.268 1
Cl2 0.157 0.345 0.735 1
Cl3 0.194 0.000 0.743 1
O1 0.033 0.000 0.174 1
O2 0.236 0.266 0.172 1
```

---

Entry 3:
This entry pairs a crystal structure of RbIrO3 with its computed X-ray powder pattern. Radiation: Cu Kα X-rays. Structure: the PBE geometry in the Materials Project.
Peak positions follow from Bragg's law for the DFT cell and can differ from measured ones.

Most intense lines, 5 to 70 degrees two-theta, low angle first:
h k l  two_theta  d_spacing  I (rel.)
1 0 0  22.17  4.009  25
1 1 0  31.56  2.835  100
2 0 0  45.23  2.005  29
2 1 0  50.93  1.793  11
2 1 1  56.20  1.637  40
2 2 0  65.90  1.417  18

Atomic structure:
```
data_RbIrO3
_chemical_formula_sum 'Rb1 Ir1 O3'
_cell_length_a 4.009
_cell_length_b 4.009
_cell_length_c 4.009
_cell_angle_alpha 90.00
_cell_angle_beta 90.00
_cell_angle_gamma 90.00
_symmetry_space_group_name_H-M 'P m -3 m'
_symmetry_Int_Tables_number 221
_symmetry_space_group_name_Hall '-P 4 2 3'
loop_
_atom_site_label
_atom_site_fract_x
_atom_site_fract_y
_atom_site_fract_z
_atom_site_occupancy
Rb1 0.000 0.000 0.000 1
Ir1 0.500 0.500 0.500 1
O1 0.000 0.500 0.500 1
```

---

Entry 4:
This entry pairs a crystal structure of Sr3Ga3B4HO14 with its computed X-ray powder pattern. Radiation: Cu Kα X-rays. Structure: the PBE geometry in the Materials Project.
Peak positions follow from Bragg's law for the DFT cell and can differ from measured ones.

Most intense lines, 5 to 70 degrees two-theta, low angle first:
h k l  two_theta  d_spacing  I (rel.)
1 3 0  26.76  3.332  84
1 3 -1  26.86  3.320  100
0 4 1  27.58  3.235  81
1 3 1  30.40  2.940  86
1 3 -2  30.56  2.925  94
2 0 -1  36.26  2.477  83

Atomic structure:
```
data_Sr3Ga3B4HO14
_chemical_formula_sum 'Sr6 Ga6 B8 H2 O28'
_cell_length_a 4.954
_cell_length_b 13.909
_cell_length_c 9.131
_cell_angle_alpha 90.00
_cell_angle_beta 105.23
_cell_angle_gamma 90.00
_symmetry_space_group_name_H-M 'P 1 21 1'
_symmetry_Int_Tables_number 4
_symmetry_space_group_name_Hall 'P 2yb'
loop_
_atom_site_label
_atom_site_fract_x
_atom_site_fract_y
_atom_site_fract_z
_atom_site_occupancy
Sr1 0.026 0.000 0.118 1
Sr2 0.115 0.300 0.206 1
Sr3 0.118 0.701 0.202 1
Ga1 0.333 0.378 0.629 1
Ga2 0.333 0.620 0.629 1
Ga3 0.423 0.999 0.810 1
B1 0.249 0.871 0.534 1
B2 0.250 0.126 0.536 1
B3 0.495 0.352 0.935 1
B4 0.495 0.646 0.935 1
H1 0.059 0.511 0.293 1
O1 0.030 0.364 0.462 1
O2 0.030 0.631 0.460 1
O3 0.040 0.999 0.813 1
O4 0.226 0.841 0.048 1
O5 0.227 0.158 0.049 1
O6 0.298 0.684 0.804 1
O7 0.301 0.313 0.805 1
O8 0.321 0.154 0.404 1
O9 0.321 0.844 0.402 1
O10 0.367 0.499 0.714 1
O11 0.384 0.403 0.038 1
O12 0.385 0.595 0.038 1
O13 0.449 0.900 0.660 1
O14 0.452 0.097 0.661 1
```

---

Entry 5:
This entry pairs a crystal structure of Re3Pb with its computed X-ray powder pattern. Radiation: Cu Kα X-rays. Structure: the PBE geometry in the Materials Project.
Peak positions follow from Bragg's law for the DFT cell and can differ from measured ones.

Most intense lines, 5 to 70 degrees two-theta, low angle first:
h k l  two_theta  d_spacing  I (rel.)
2 2 0  39.39  2.288  100
4 0 0  56.92  1.618  17

Atomic structure:
```
data_Re3Pb
_chemical_formula_sum 'Re12 Pb4'
_cell_length_a 6.471
_cell_length_b 6.471
_cell_length_c 6.471
_cell_angle_alpha 90.00
_cell_angle_beta 90.00
_cell_angle_gamma 90.00
_symmetry_space_group_name_H-M 'F m -3 m'
_symmetry_Int_Tables_number 225
_symmetry_space_group_name_Hall '-F 4 2 3'
loop_
_atom_site_label
_atom_site_fract_x
_atom_site_fract_y
_atom_site_fract_z
_atom_site_occupancy
Re1 0.000 0.000 0.000 1
Re2 0.250 0.250 0.250 1
Pb1 0.000 0.000 0.500 1
```